# 1
Starting from a cell relaxed with PBE+U, the XRD peak list of LiNiPO4 was calculated for Cu Kα (λ = 1.5418 Å).
Lines closer than 0.1° are merged.

Cell and atoms:
```
data_LiNiPO4
_chemical_formula_sum 'Li6 Ni6 P6 O24'
_cell_length_a 8.3960
_cell_length_b 8.3960
_cell_length_c 7.4070
_cell_angle_alpha 90.00
_cell_angle_beta 90.00
_cell_angle_gamma 120.00
_symmetry_space_group_name_H-M 'P 63'
_symmetry_Int_Tables_number 173
loop_
_symmetry_equiv_pos_as_xyz
'x,y,z'
'x-y,x,z+1/2'
'-y,x-y,z'
'-x,-y,z+1/2'
'-x+y,-x,z'
'y,-x+y,z+1/2'
loop_
_atom_site_label
_atom_site_type_symbol
_atom_site_fract_x
_atom_site_fract_y
_atom_site_fract_z
Li1 Li 0.0127 0.6816 0.0000
Ni1 Ni 0.0000 0.0000 0.2472
Ni2 Ni 0.3333 0.6667 0.2912
Ni3 Ni 0.3333 0.6667 0.8937
P1 P 0.0380 0.6776 0.5975
O1 O 0.0678 0.2123 0.0938
O2 O 0.1129 0.5306 0.0896
O3 O 0.1473 0.7237 0.7755
O4 O 0.1724 0.7417 0.4367
```

Top 10 peaks for 5° ≤ 2θ ≤ 70°, in order of rising 2θ:
hkl 1 1 0, 21.16 deg, intensity 75; hkl 1 1 1, 24.37 deg, intensity 76; hkl 1 0 2, 27.02 deg, intensity 31; hkl 1 1 2, 32.23 deg, intensity 100; hkl 3 0 0, 37.09 deg, intensity 51; hkl 2 0 3, 44.35 deg, intensity 23; hkl 2 2 2, 49.94 deg, intensity 31; hkl 1 4 0, 58.14 deg, intensity 24; hkl 3 1 3, 59.15 deg, intensity 22; hkl 4 1 2, 63.82 deg, intensity 25


# 2
Starting from a cell relaxed with PBE+U, the XRD peak list of LiNiP2O7 was calculated for Cu Kα (λ = 1.5418 Å).
Lines closer than 0.1° are merged.

Cell and atoms:
```
data_LiNiP2O7
_chemical_formula_sum 'Li2 Ni2 P4 O14'
_cell_length_a 6.3575
_cell_length_b 6.4196
_cell_length_c 6.8966
_cell_angle_alpha 84.49
_cell_angle_beta 67.00
_cell_angle_gamma 81.70
_symmetry_space_group_name_H-M 'P -1'
_symmetry_Int_Tables_number 2
loop_
_symmetry_equiv_pos_as_xyz
'x,y,z'
'-x,-y,-z'
loop_
_atom_site_label
_atom_site_type_symbol
_atom_site_fract_x
_atom_site_fract_y
_atom_site_fract_z
Li1 Li 0.2127 0.0067 0.3265
Ni1 Ni 0.4063 0.3547 0.7161
P1 P 0.1547 0.6068 0.1436
P2 P 0.2892 0.8653 0.7328
O1 O 0.0938 0.4023 0.7003
O2 O 0.1162 0.9535 0.6363
O3 O 0.1396 0.7872 0.9691
O4 O 0.2672 0.4008 0.0346
O5 O 0.2805 0.6894 0.2647
O6 O 0.4369 0.0265 0.7486
O7 O 0.4456 0.6683 0.6202
```

Top 10 peaks for 5° ≤ 2θ ≤ 70°, in order of rising 2θ:
hkl 0 1 0, 13.95 deg, intensity 38; hkl 1 0 0, 15.24 deg, intensity 27; hkl 1 0 1, 16.27 deg, intensity 100; hkl 0 1 -1, 20.22 deg, intensity 45; hkl 0 0 2, 28.14 deg, intensity 52; hkl 2 0 1, 28.47 deg, intensity 55; hkl 2 1 1, 29.87 deg, intensity 37; hkl 0 2 1, 30.96 deg, intensity 57; hkl 0 2 -1, 32.08 deg, intensity 41; hkl 1 0 -2, 37.13 deg, intensity 28


# 3
Starting from a cell relaxed with PBE+U, the XRD peak list of LiNiPO4 was calculated for Cu Kα (λ = 1.5418 Å).
Lines closer than 0.1° are merged.

Cell and atoms:
```
data_LiNiPO4
_chemical_formula_sum 'Li8 Ni8 P8 O32'
_cell_length_a 9.8794
_cell_length_b 4.9309
_cell_length_c 14.0934
_cell_angle_alpha 90.00
_cell_angle_beta 90.00
_cell_angle_gamma 90.00
_symmetry_space_group_name_H-M 'P c a 21'
_symmetry_Int_Tables_number 29
loop_
_symmetry_equiv_pos_as_xyz
'x,y,z'
'-x,-y,z+1/2'
'-x+1/2,y,z+1/2'
'x+1/2,-y,z'
loop_
_atom_site_label
_atom_site_type_symbol
_atom_site_fract_x
_atom_site_fract_y
_atom_site_fract_z
Li1 Li 0.0268 0.0635 0.0000
Li2 Li 0.2273 0.4595 0.2474
Ni1 Ni 0.0300 0.9562 0.2500
Ni2 Ni 0.2304 0.4699 0.4981
P1 P 0.0236 0.5566 0.8739
P2 P 0.2158 0.9592 0.6246
O1 O 0.0014 0.1319 0.3747
O2 O 0.0397 0.5637 0.4660
O3 O 0.0413 0.5649 0.2829
O4 O 0.0617 0.0236 0.6255
O5 O 0.1773 0.4897 0.8730
O6 O 0.2175 0.0713 0.2164
O7 O 0.2235 0.0888 0.0331
O8 O 0.2415 0.6481 0.6231
```

Top 10 peaks for 5° ≤ 2θ ≤ 70°, in order of rising 2θ:
hkl 0 1 2, 21.99 deg, intensity 100; hkl 2 1 0, 25.52 deg, intensity 6; hkl 2 0 3, 26.18 deg, intensity 6; hkl 2 1 3, 31.95 deg, intensity 5; hkl 2 1 4, 36.23 deg, intensity 13; hkl 0 2 0, 36.41 deg, intensity 31; hkl 0 1 6, 42.63 deg, intensity 10; hkl 2 2 2, 42.94 deg, intensity 15; hkl 0 0 8, 51.90 deg, intensity 6; hkl 0 2 8, 65.05 deg, intensity 6


# 4
Starting from a cell relaxed with PBE+U, the XRD peak list of LiNiPO4 was calculated for Cu Kα (λ = 1.5418 Å).
Lines closer than 0.1° are merged.

Cell and atoms:
```
data_LiNiPO4
_chemical_formula_sum 'Li6 Ni6 P6 O24'
_cell_length_a 4.9797
_cell_length_b 4.9797
_cell_length_c 23.2577
_cell_angle_alpha 90.00
_cell_angle_beta 90.00
_cell_angle_gamma 120.00
_symmetry_space_group_name_H-M 'R -3'
_symmetry_Int_Tables_number 148
_symmetry_space_group_name_Hall '-R 3'
loop_
_atom_site_label
_atom_site_type_symbol
_atom_site_fract_x
_atom_site_fract_y
_atom_site_fract_z
Li1 Li 0.0000 0.0000 0.1457
Ni1 Ni 0.0000 0.0000 0.2727
P1 P 0.0000 0.0000 0.4205
O1 O 0.0000 0.0000 0.3544
O2 O 0.0231 0.3858 0.1089
```

Top 10 peaks for 5° ≤ 2θ ≤ 70°, in order of rising 2θ:
hkl 1 0 1, 20.95 deg, intensity 100; hkl 0 1 2, 21.98 deg, intensity 70; hkl 0 0 6, 22.94 deg, intensity 72; hkl 1 0 7, 34.06 deg, intensity 55; hkl 1 1 0, 36.07 deg, intensity 74; hkl 2 -1 3, 37.96 deg, intensity 47; hkl 2 -1 6, 43.18 deg, intensity 29; hkl 2 -1 9, 50.93 deg, intensity 31; hkl 1 0 13, 55.62 deg, intensity 20; hkl 3 0 0, 64.86 deg, intensity 28


# 5
Starting from a cell relaxed with PBE+U, the XRD peak list of LiNiPO4 was calculated for Cu Kα (λ = 1.5418 Å).
Lines closer than 0.1° are merged.

Cell and atoms:
```
data_LiNiPO4
_chemical_formula_sum 'Li18 Ni18 P18 O72'
_cell_length_a 13.6039
_cell_length_b 13.6039
_cell_length_c 9.4406
_cell_angle_alpha 90.00
_cell_angle_beta 90.00
_cell_angle_gamma 120.00
_symmetry_space_group_name_H-M 'R 3'
_symmetry_Int_Tables_number 146
_symmetry_space_group_name_Hall 'R 3'
loop_
_atom_site_label
_atom_site_type_symbol
_atom_site_fract_x
_atom_site_fract_y
_atom_site_fract_z
Li1 Li 0.0204 0.8045 0.0000
Li2 Li 0.1382 0.4558 0.1626
Ni1 Ni 0.0158 0.8148 0.6608
Ni2 Ni 0.1504 0.4569 0.8279
P1 P 0.0142 0.8039 0.3310
P2 P 0.1336 0.4597 0.4960
O1 O 0.0001 0.3172 0.8268
O2 O 0.0104 0.6880 0.3252
O3 O 0.0741 0.8695 0.4679
O4 O 0.0739 0.8749 0.1954
O5 O 0.1046 0.8835 0.8348
O6 O 0.1958 0.0636 0.6914
O7 O 0.2018 0.4614 0.6291
O8 O 0.2206 0.1102 0.3358
```

Top 10 peaks for 5° ≤ 2θ ≤ 70°, in order of rising 2θ:
hkl 0 1 2, 20.27 deg, intensity 37; hkl 3 -1 1, 22.07 deg, intensity 100; hkl 3 0 0, 22.64 deg, intensity 33; hkl 2 2 0, 26.20 deg, intensity 81; hkl 1 1 3, 31.32 deg, intensity 78; hkl 4 1 0, 34.90 deg, intensity 70; hkl 4 -2 3, 38.98 deg, intensity 41; hkl 6 -3 3, 49.55 deg, intensity 32; hkl 0 0 6, 58.65 deg, intensity 20; hkl 1 7 3, 66.93 deg, intensity 36


# 6
Starting from a cell relaxed with PBE+U, the XRD peak list of Li5Ni6P8O28 was calculated for Cu Kα (λ = 1.5418 Å).
Lines closer than 0.1° are merged.

Cell and atoms:
```
data_Li5Ni6P8O28
_chemical_formula_sum 'Li5 Ni6 P8 O28'
_cell_length_a 6.3434
_cell_length_b 8.3834
_cell_length_c 10.0584
_cell_angle_alpha 107.96
_cell_angle_beta 90.39
_cell_angle_gamma 92.80
_symmetry_space_group_name_H-M 'P -1'
_symmetry_Int_Tables_number 2
loop_
_symmetry_equiv_pos_as_xyz
'x,y,z'
'-x,-y,-z'
loop_
_atom_site_label
_atom_site_type_symbol
_atom_site_fract_x
_atom_site_fract_y
_atom_site_fract_z
Li1 Li 0.0000 0.0000 0.0000
Li2 Li 0.4041 0.8870 0.3806
Li3 Li 0.4789 0.3294 0.8947
Ni1 Ni 0.0000 0.0000 0.5000
Ni2 Ni 0.1416 0.6161 0.4389
Ni3 Ni 0.1952 0.6123 0.8580
Ni4 Ni 0.5000 0.0000 0.0000
P1 P 0.0245 0.7445 0.1787
P2 P 0.2338 0.9587 0.7564
P3 P 0.3102 0.3213 0.1899
P4 P 0.3486 0.2939 0.4831
O1 O 0.0401 0.0757 0.8306
O2 O 0.1042 0.7890 0.3332
O3 O 0.1117 0.4230 0.2395
O4 O 0.1510 0.8598 0.6083
O5 O 0.1741 0.3716 0.8520
O6 O 0.1754 0.4232 0.5319
O7 O 0.2004 0.6931 0.0745
O8 O 0.2483 0.8502 0.8543
O9 O 0.2542 0.1476 0.0909
O10 O 0.2772 0.1129 0.4731
O11 O 0.4185 0.2997 0.3310
O12 O 0.4230 0.0778 0.7621
O13 O 0.4531 0.6613 0.4242
O14 O 0.4810 0.4166 0.1307
```

Top 10 peaks for 5° ≤ 2θ ≤ 70°, in order of rising 2θ:
hkl 1 0 0, 13.98 deg, intensity 45; hkl 1 1 -1, 18.80 deg, intensity 74; hkl 1 0 -2, 23.07 deg, intensity 51; hkl 1 2 -1, 26.16 deg, intensity 59; hkl 0 0 3, 27.98 deg, intensity 100; hkl -1 2 1, 29.65 deg, intensity 55; hkl 2 1 0, 30.94 deg, intensity 81; hkl -2 1 1, 32.11 deg, intensity 42; hkl 0 3 0, 33.76 deg, intensity 58; hkl -2 1 2, 36.88 deg, intensity 63